[1]
Structure and calculated powder XRD pattern of Ba2As6O11 (a GGA-PBE-relaxed structure; CuKα).
Intensities are scaled so that the largest is 100.

Peak list (10 most intense, 2θ = 15–90°, low angle first)
- 2θ 25.0, rel. 43
- 2θ 25.8, rel. 100
- 2θ 26.3, rel. 57
- 2θ 27.0, rel. 55
- 2θ 27.1, rel. 98
- 2θ 29.7, rel. 69
- 2θ 32.3, rel. 42
- 2θ 33.7, rel. 58
- 2θ 38.1, rel. 33
- 2θ 50.4, rel. 28

Cell and atoms:
a b c (Å): 8.611 9.450 9.471
angles (deg): 73.57 72.44 75.64
Element x y z (fractional)
Ba (0.023, 0.441, 0.278)
Ba (0.460, 0.584, 0.226)
Ba (0.540, 0.416, 0.774)
Ba (0.977, 0.559, 0.722)
As (0.099, 0.881, 0.306)
As (0.183, 0.182, 0.929)
As (0.201, 0.729, 0.942)
As (0.299, 0.822, 0.568)
As (0.302, 0.258, 0.564)
As (0.382, 0.089, 0.197)
As (0.618, 0.911, 0.803)
As (0.698, 0.742, 0.436)
As (0.701, 0.178, 0.432)
As (0.799, 0.271, 0.058)
As (0.817, 0.818, 0.071)
As (0.901, 0.119, 0.694)
O (0.014, 0.320, 0.012)
O (0.112, 0.727, 0.235)
O (0.161, 0.770, 0.487)
O (0.214, 0.427, 0.467)
O (0.216, 0.168, 0.321)
O (0.251, 0.683, 0.744)
O (0.257, 0.316, 0.753)
O (0.309, 0.557, 0.016)
O (0.312, 0.915, 0.202)
O (0.342, 0.202, 0.007)
O (0.484, 0.694, 0.490)
O (0.516, 0.306, 0.510)
O (0.658, 0.798, 0.993)
O (0.688, 0.085, 0.798)
O (0.691, 0.443, 0.984)
O (0.743, 0.684, 0.247)
O (0.749, 0.317, 0.256)
O (0.784, 0.832, 0.679)
O (0.786, 0.573, 0.533)
O (0.839, 0.230, 0.513)
O (0.888, 0.273, 0.765)
O (0.986, 0.680, 0.988)

***

[2]
Structure and calculated powder XRD pattern of Ba5As3SO12 (a GGA-PBE-relaxed structure; CuKα).
Intensities are scaled so that the largest is 100.

Peak list (10 most intense, 2θ = 15–90°, low angle first)
- 2θ 25.2, rel. 24
- 2θ 27.6, rel. 100
- 2θ 28.1, rel. 88
- 2θ 28.6, rel. 53
- 2θ 40.5, rel. 33
- 2θ 43.0, rel. 31
- 2θ 43.7, rel. 19
- 2θ 44.3, rel. 17
- 2θ 55.3, rel. 21
- 2θ 66.0, rel. 17

Cell and atoms:
a b c (Å): 10.815 10.815 7.854
angles (deg): 90.00 90.00 120.00
Element x y z (fractional)
Ba (0.007, 0.255, 0.250)
Ba (0.248, 0.993, 0.250)
Ba (0.255, 0.248, 0.750)
Ba (0.333, 0.667, 0.001)
Ba (0.333, 0.667, 0.499)
Ba (0.667, 0.333, 0.501)
Ba (0.667, 0.333, 0.999)
Ba (0.745, 0.752, 0.250)
Ba (0.752, 0.007, 0.750)
Ba (0.993, 0.745, 0.750)
As (0.033, 0.410, 0.750)
As (0.377, 0.967, 0.750)
As (0.410, 0.377, 0.250)
As (0.590, 0.623, 0.750)
As (0.623, 0.033, 0.250)
As (0.967, 0.590, 0.250)
S (0.000, 0.000, 0.000)
S (0.000, 0.000, 0.500)
O (0.091, 0.359, 0.573)
O (0.091, 0.359, 0.927)
O (0.124, 0.596, 0.750)
O (0.150, 0.660, 0.250)
O (0.268, 0.909, 0.573)
O (0.268, 0.909, 0.927)
O (0.340, 0.490, 0.250)
O (0.359, 0.268, 0.073)
O (0.359, 0.268, 0.427)
O (0.404, 0.528, 0.750)
O (0.472, 0.876, 0.750)
O (0.490, 0.150, 0.750)
O (0.510, 0.850, 0.250)
O (0.528, 0.124, 0.250)
O (0.596, 0.472, 0.250)
O (0.641, 0.732, 0.573)
O (0.641, 0.732, 0.927)
O (0.660, 0.510, 0.750)
O (0.732, 0.091, 0.073)
O (0.732, 0.091, 0.427)
O (0.850, 0.340, 0.750)
O (0.876, 0.404, 0.250)
O (0.909, 0.641, 0.073)
O (0.909, 0.641, 0.427)

***

[3]
Structure and calculated powder XRD pattern of Ba2AsSe4O3 (a GGA-PBE-relaxed structure; CuKα).
Intensities are scaled so that the largest is 100.

Peak list (10 most intense, 2θ = 15–90°, low angle first)
- 2θ 20.0, rel. 57
- 2θ 24.5, rel. 30
- 2θ 28.0, rel. 21
- 2θ 28.4, rel. 100
- 2θ 28.9, rel. 85
- 2θ 29.3, rel. 41
- 2θ 34.6, rel. 49
- 2θ 40.6, rel. 25
- 2θ 43.9, rel. 22
- 2θ 50.3, rel. 22

Cell and atoms:
a b c (Å): 6.447 6.447 6.795
angles (deg): 106.19 106.19 87.25
Element x y z (fractional)
Ba (0.237, 0.763, 0.000)
Ba (0.763, 0.237, 0.000)
As (0.325, 0.325, 0.528)
Se (0.299, 0.299, 0.158)
Se (0.368, 0.949, 0.556)
Se (0.736, 0.736, 0.548)
Se (0.949, 0.368, 0.556)
O (0.685, 0.836, 0.068)
O (0.836, 0.685, 0.068)
O (0.918, 0.918, 0.761)

***

[4]
Structure and calculated powder XRD pattern of Ba3TaAs3O (a GGA-PBE-relaxed structure; CuKα).
Intensities are scaled so that the largest is 100.

Peak list (10 most intense, 2θ = 15–90°, low angle first)
- 2θ 24.3, rel. 33
- 2θ 24.6, rel. 33
- 2θ 24.8, rel. 14
- 2θ 26.1, rel. 100
- 2θ 31.8, rel. 23
- 2θ 36.2, rel. 29
- 2θ 37.2, rel. 33
- 2θ 40.8, rel. 41
- 2θ 41.6, rel. 18
- 2θ 49.1, rel. 22

Cell and atoms:
a b c (Å): 6.818 11.249 13.683
angles (deg): 90.00 90.00 90.00
Element x y z (fractional)
Ba (0.227, 0.250, 0.129)
Ba (0.243, 0.545, 0.369)
Ba (0.243, 0.955, 0.369)
Ba (0.257, 0.045, 0.869)
Ba (0.257, 0.455, 0.869)
Ba (0.273, 0.750, 0.629)
Ba (0.727, 0.250, 0.371)
Ba (0.743, 0.545, 0.131)
Ba (0.743, 0.955, 0.131)
Ba (0.757, 0.045, 0.631)
Ba (0.757, 0.455, 0.631)
Ba (0.773, 0.750, 0.871)
Ta (0.162, 0.250, 0.545)
Ta (0.338, 0.750, 0.045)
Ta (0.662, 0.250, 0.955)
Ta (0.838, 0.750, 0.455)
As (0.228, 0.250, 0.367)
As (0.236, 0.556, 0.118)
As (0.236, 0.944, 0.118)
As (0.264, 0.056, 0.618)
As (0.264, 0.444, 0.618)
As (0.272, 0.750, 0.867)
As (0.728, 0.250, 0.133)
As (0.736, 0.556, 0.382)
As (0.736, 0.944, 0.382)
As (0.764, 0.056, 0.882)
As (0.764, 0.444, 0.882)
As (0.772, 0.750, 0.633)
O (0.114, 0.750, 0.447)
O (0.386, 0.250, 0.947)
O (0.614, 0.750, 0.053)
O (0.886, 0.250, 0.553)

***

[5]
Structure and calculated powder XRD pattern of Ba3U2As4O19 (a GGA-PBE-relaxed structure; CuKα).
Intensities are scaled so that the largest is 100.

Peak list (10 most intense, 2θ = 15–90°, low angle first)
- 2θ 20.4, rel. 54
- 2θ 21.2, rel. 37
- 2θ 23.4, rel. 51
- 2θ 24.3, rel. 28
- 2θ 24.6, rel. 53
- 2θ 25.9, rel. 34
- 2θ 27.1, rel. 27
- 2θ 27.4, rel. 26
- 2θ 28.1, rel. 100
- 2θ 43.1, rel. 31

Cell and atoms:
a b c (Å): 10.951 10.951 9.840
angles (deg): 95.54 95.54 52.61
Element x y z (fractional)
Ba (0.119, 0.881, 0.750)
Ba (0.323, 0.412, 0.395)
Ba (0.412, 0.323, 0.895)
Ba (0.588, 0.677, 0.105)
Ba (0.677, 0.588, 0.605)
Ba (0.881, 0.119, 0.250)
U (0.149, 0.213, 0.077)
U (0.213, 0.149, 0.577)
U (0.787, 0.851, 0.423)
U (0.851, 0.787, 0.923)
As (0.058, 0.562, 0.675)
As (0.208, 0.708, 0.094)
As (0.292, 0.792, 0.406)
As (0.438, 0.942, 0.825)
As (0.562, 0.058, 0.175)
As (0.708, 0.208, 0.594)
As (0.792, 0.292, 0.906)
As (0.942, 0.438, 0.325)
O (0.019, 0.663, 0.533)
O (0.021, 0.831, 0.028)
O (0.089, 0.176, 0.706)
O (0.104, 0.398, 0.264)
O (0.121, 0.337, 0.948)
O (0.130, 0.617, 0.810)
O (0.169, 0.979, 0.472)
O (0.175, 0.825, 0.250)
O (0.176, 0.089, 0.206)
O (0.200, 0.373, 0.628)
O (0.278, 0.530, 0.136)
O (0.290, 0.676, 0.507)
O (0.324, 0.710, 0.993)
O (0.337, 0.121, 0.448)
O (0.337, 0.981, 0.967)
O (0.373, 0.200, 0.128)
O (0.383, 0.870, 0.690)
O (0.398, 0.104, 0.764)
O (0.470, 0.722, 0.364)
O (0.530, 0.278, 0.636)
O (0.602, 0.896, 0.236)
O (0.617, 0.130, 0.310)
O (0.627, 0.800, 0.872)
O (0.663, 0.019, 0.033)
O (0.663, 0.879, 0.552)
O (0.676, 0.290, 0.007)
O (0.710, 0.324, 0.493)
O (0.722, 0.470, 0.864)
O (0.800, 0.627, 0.372)
O (0.824, 0.911, 0.794)
O (0.825, 0.175, 0.750)
O (0.831, 0.021, 0.528)
O (0.870, 0.383, 0.190)
O (0.879, 0.663, 0.052)
O (0.896, 0.602, 0.736)
O (0.911, 0.824, 0.294)
O (0.979, 0.169, 0.972)
O (0.981, 0.337, 0.467)

***

Question: What is the formula in the third record?
Answer: Ba2AsSe4O3

***

What did the third record say?
Structure and calculated powder XRD pattern of Ba2AsSe4O3 (a GGA-PBE-relaxed structure; CuKα).
Intensities are scaled so that the largest is 100.

Peak list (10 most intense, 2θ = 15–90°, low angle first)
- 2θ 20.0, rel. 57
- 2θ 24.5, rel. 30
- 2θ 28.0, rel. 21
- 2θ 28.4, rel. 100
- 2θ 28.9, rel. 85
- 2θ 29.3, rel. 41
- 2θ 34.6, rel. 49
- 2θ 40.6, rel. 25
- 2θ 43.9, rel. 22
- 2θ 50.3, rel. 22

Cell and atoms:
a b c (Å): 6.447 6.447 6.795
angles (deg): 106.19 106.19 87.25
Element x y z (fractional)
Ba (0.237, 0.763, 0.000)
Ba (0.763, 0.237, 0.000)
As (0.325, 0.325, 0.528)
Se (0.299, 0.299, 0.158)
Se (0.368, 0.949, 0.556)
Se (0.736, 0.736, 0.548)
Se (0.949, 0.368, 0.556)
O (0.685, 0.836, 0.068)
O (0.836, 0.685, 0.068)
O (0.918, 0.918, 0.761)

***

Repeat the second record exactly.
Structure and calculated powder XRD pattern of Ba5As3SO12 (a GGA-PBE-relaxed structure; CuKα).
Intensities are scaled so that the largest is 100.

Peak list (10 most intense, 2θ = 15–90°, low angle first)
- 2θ 25.2, rel. 24
- 2θ 27.6, rel. 100
- 2θ 28.1, rel. 88
- 2θ 28.6, rel. 53
- 2θ 40.5, rel. 33
- 2θ 43.0, rel. 31
- 2θ 43.7, rel. 19
- 2θ 44.3, rel. 17
- 2θ 55.3, rel. 21
- 2θ 66.0, rel. 17

Cell and atoms:
a b c (Å): 10.815 10.815 7.854
angles (deg): 90.00 90.00 120.00
Element x y z (fractional)
Ba (0.007, 0.255, 0.250)
Ba (0.248, 0.993, 0.250)
Ba (0.255, 0.248, 0.750)
Ba (0.333, 0.667, 0.001)
Ba (0.333, 0.667, 0.499)
Ba (0.667, 0.333, 0.501)
Ba (0.667, 0.333, 0.999)
Ba (0.745, 0.752, 0.250)
Ba (0.752, 0.007, 0.750)
Ba (0.993, 0.745, 0.750)
As (0.033, 0.410, 0.750)
As (0.377, 0.967, 0.750)
As (0.410, 0.377, 0.250)
As (0.590, 0.623, 0.750)
As (0.623, 0.033, 0.250)
As (0.967, 0.590, 0.250)
S (0.000, 0.000, 0.000)
S (0.000, 0.000, 0.500)
O (0.091, 0.359, 0.573)
O (0.091, 0.359, 0.927)
O (0.124, 0.596, 0.750)
O (0.150, 0.660, 0.250)
O (0.268, 0.909, 0.573)
O (0.268, 0.909, 0.927)
O (0.340, 0.490, 0.250)
O (0.359, 0.268, 0.073)
O (0.359, 0.268, 0.427)
O (0.404, 0.528, 0.750)
O (0.472, 0.876, 0.750)
O (0.490, 0.150, 0.750)
O (0.510, 0.850, 0.250)
O (0.528, 0.124, 0.250)
O (0.596, 0.472, 0.250)
O (0.641, 0.732, 0.573)
O (0.641, 0.732, 0.927)
O (0.660, 0.510, 0.750)
O (0.732, 0.091, 0.073)
O (0.732, 0.091, 0.427)
O (0.850, 0.340, 0.750)
O (0.876, 0.404, 0.250)
O (0.909, 0.641, 0.073)
O (0.909, 0.641, 0.427)